Theoretical powder diffraction line list
Compound: Nb3S5
Radiation: Cu Kα
Structure: a cell relaxed with PBE
Peak positions follow from Bragg's law for the DFT cell and can differ from measured ones.

Structure:
```
Nb3S5
1.0
7.9351 0.0000 0.0000
-3.5644 8.1764 0.0000
-0.7835 -1.0408 9.1697
Nb S
12 20
Direct
0.0000 0.0000 0.0000
0.0359 0.8971 0.5013
0.1485 0.3101 0.6020
0.2379 0.7059 0.7015
0.3443 0.1053 0.7997
0.4395 0.5029 0.8931
0.5483 0.9096 0.0012
0.5952 0.3953 0.5980
0.6421 0.3041 0.1058
0.7451 0.7069 0.2001
0.8447 0.1037 0.2982
0.9389 0.5044 0.4025
0.0096 0.0546 0.7317
0.0516 0.9537 0.2481
0.1118 0.4528 0.8295
0.1373 0.3584 0.3407
0.2122 0.8558 0.9324
0.2348 0.7537 0.4416
0.3071 0.2532 0.0294
0.3301 0.1420 0.5332
0.4178 0.6573 0.1249
0.4356 0.5709 0.6330
0.5145 0.0505 0.2312
0.5367 0.9564 0.7398
0.6060 0.4534 0.3310
0.6472 0.3554 0.8489
0.7094 0.8528 0.4257
0.7341 0.7466 0.9309
0.8113 0.2529 0.5290
0.8425 0.1727 0.0386
0.9038 0.6501 0.6332
0.9383 0.5561 0.1434
```

Top 6 peaks for 15 to 90 degrees two-theta, low angle first:
| two_theta | d/Å | Rel. int. | (hkl) |
| --- | --- | --- | --- |
| 31.0 | 2.883 | 56.0 | 1 -3 1 |
| 32.2 | 2.779 | 46.5 | 1 -1 3 |
| 36.6 | 2.455 | 65.1 | 3 -1 1 |
| 39.6 | 2.274 | 100.0 | -3 3 1 |
| 46.9 | 1.938 | 45.2 | 1 3 -3 |
| 54.4 | 1.686 | 33.4 | 2 1 4 |


Theoretical powder diffraction line list
Compound: Nb3S5
Radiation: Cu Kα
Structure: a cell relaxed with PBE
Peak positions follow from Bragg's law for the DFT cell and can differ from measured ones.

Structure:
```
Nb3S5
1.0
5.8642 0.0000 0.0000
-1.9591 6.9185 0.0000
-0.9820 -2.8402 7.3613
Nb S
6 10
Direct
0.0000 0.0000 0.0000
0.0767 0.3171 0.7796
0.1971 0.3937 0.4017
0.4046 0.7907 0.7980
0.5993 0.1942 0.1935
0.8031 0.5898 0.5968
0.0341 0.6517 0.9121
0.1047 0.9504 0.6915
0.2329 0.0421 0.2980
0.3035 0.3557 0.0942
0.4543 0.4371 0.7021
0.5003 0.7466 0.4953
0.6343 0.8427 0.1010
0.7032 0.1523 0.8906
0.8165 0.2218 0.4878
0.9034 0.5502 0.2963
```

Top 6 peaks for 15 to 90 degrees two-theta, low angle first:
| two_theta | d/Å | Rel. int. | (hkl) |
| --- | --- | --- | --- |
| 31.0 | 2.882 | 55.4 | 1 1 1 |
| 32.2 | 2.779 | 47.1 | -1 2 1 |
| 36.5 | 2.461 | 64.7 | 1 0 -3 |
| 39.5 | 2.279 | 100.0 | 2 1 -2 |
| 39.6 | 2.274 | 50.2 | 1 -3 0 |
| 54.3 | 1.690 | 50.8 | 3 0 1 |


Theoretical powder diffraction line list
Compound: NbS2
Radiation: Cu Kα
Structure: a cell relaxed with PBE
Peak positions follow from Bragg's law for the DFT cell and can differ from measured ones.

Structure:
```
NbS2
1.0
3.3687 0.0000 0.0000
-1.6844 2.9174 0.0000
0.0000 0.0000 17.4621
Nb S
2 4
Direct
0.3333 0.6667 0.2500
0.6667 0.3333 0.7500
0.0000 0.0000 0.1604
0.0000 0.0000 0.3396
0.0000 0.0000 0.6604
0.0000 0.0000 0.8396
```

Top 6 peaks for 15 to 90 degrees two-theta, low angle first:
| two_theta | d/Å | Rel. int. | (hkl) |
| --- | --- | --- | --- |
| 31.1 | 2.878 | 100.0 | 1 0 1 |
| 34.4 | 2.608 | 75.8 | 1 0 3 |
| 37.1 | 2.426 | 71.0 | 1 0 4 |
| 40.3 | 2.239 | 48.5 | 1 0 5 |
| 43.9 | 2.060 | 66.0 | 1 0 6 |
| 55.6 | 1.654 | 40.3 | 1 1 2 |


Theoretical powder diffraction line list
Compound: NbS2
Radiation: Cu Kα
Structure: a cell relaxed with PBE
Peak positions follow from Bragg's law for the DFT cell and can differ from measured ones.

Structure:
```
NbS2
1.0
3.3766 0.0000 0.0000
-1.6883 2.9243 0.0000
0.0000 0.0000 6.3113
Nb S
1 2
Direct
0.0000 0.0000 0.0000
0.3333 0.6667 0.7540
0.6667 0.3333 0.2460
```

Top 6 peaks for 15 to 90 degrees two-theta, low angle first:
| two_theta | d/Å | Rel. int. | (hkl) |
| --- | --- | --- | --- |
| 30.6 | 2.924 | 20.5 | 1 0 0 |
| 33.8 | 2.653 | 100.0 | 1 0 1 |
| 42.1 | 2.145 | 70.9 | 1 0 2 |
| 53.7 | 1.708 | 26.3 | 0 1 3 |
| 54.3 | 1.688 | 25.2 | 1 1 0 |
| 56.4 | 1.631 | 17.1 | 1 1 1 |